Starting from a GGA-PBE-relaxed structure, the powder X-ray diffraction pattern of Ca2ScTaO6 was computed for a wavelength of 1.5418 Å.
Peak positions follow from Bragg's law for the DFT cell and can differ from measured ones.

Principal peaks in the range 2θ = 5–70°, by angle:
2theta	I/Imax
19.2	44
19.6	41
22.4	64
31.4	25
31.9	100
32.3	22
45.7	28
57.4	24

Crystal structure
Unit cell a=5.5353 b=5.7045 c=9.6646 alpha=90.00 beta=124.90 gamma=90.00
Atoms (fractional coordinates):
Ca: 0.2357 0.0499 0.2484
Ca: 0.2357 0.4501 0.7484
Ca: 0.7643 0.5499 0.2516
Ca: 0.7643 0.9501 0.7516
Sc: 0.0000 0.0000 0.5000
Sc: 0.0000 0.5000 0.0000
Ta: 0.5000 0.0000 0.0000
Ta: 0.5000 0.5000 0.5000
O: 0.1594 0.1969 0.9506
O: 0.1594 0.3031 0.4506
O: 0.2519 0.7112 0.9460
O: 0.2519 0.7888 0.4460
O: 0.3552 0.0340 0.7572
O: 0.3552 0.4660 0.2572
O: 0.6448 0.5340 0.7428
O: 0.6448 0.9660 0.2428
O: 0.7481 0.2112 0.5540
O: 0.7481 0.2888 0.0540
O: 0.8406 0.6969 0.5494
O: 0.8406 0.8031 0.0494